# 1
Theoretical XRD peak list
Compound: LiV2P3O12
Radiation: Cu Kα
Structure: DFT lattice parameters and positions (GGA+U)
No peak broadening, texture or thermal motion is included.

Cell and atoms:
```
LiV2P3O12
1.0
9.0192 -3.0653 0.0000
9.0192 3.0653 0.0000
-2.2734 0.0000 7.6807
Li V P O
2 4 6 24
direct
0.0000 0.0000 0.0000
0.0000 0.0000 0.5000
0.2025 0.5293 0.9059
0.4707 0.7975 0.5941
0.5293 0.2025 0.4059
0.7975 0.4707 0.0941
0.0015 0.6456 0.2759
0.3544 0.9985 0.2241
0.4497 0.5503 0.2500
0.5503 0.4497 0.7500
0.6456 0.0015 0.7759
0.9985 0.3544 0.7241
0.0812 0.5746 0.0920
0.0990 0.1509 0.1640
0.1172 0.4074 0.7437
0.1509 0.0990 0.6640
0.2101 0.5089 0.4165
0.2715 0.6721 0.0913
0.3279 0.7285 0.4087
0.3290 0.5380 0.7640
0.4074 0.1172 0.2437
0.4254 0.9188 0.4080
0.4620 0.6710 0.7360
0.4911 0.7899 0.0835
0.5089 0.2101 0.9165
0.5380 0.3290 0.2640
0.5746 0.0812 0.5920
0.5926 0.8828 0.7563
0.6710 0.4620 0.2360
0.6721 0.2715 0.5913
0.7285 0.3279 0.9087
0.7899 0.4911 0.5835
0.8491 0.9010 0.3360
0.8828 0.5926 0.2563
0.9010 0.8491 0.8360
0.9188 0.4254 0.9080
```

The 6 most intense peaks (2θ from 5° to 70°), by intensity:
| 2theta | intensity |
| --- | --- |
| 15.3 | 100 |
| 22.5 | 85 |
| 18.3 | 64 |
| 28.0 | 52 |
| 26.3 | 48 |
| 20.5 | 47 |

# 2
Theoretical XRD peak list
Compound: Na5TbMo4O16
Radiation: Cu Kα
Structure: DFT lattice parameters and positions (GGA+U)
No peak broadening, texture or thermal motion is included.

Cell and atoms:
```
Na5TbMo4O16
1.0
-5.7962 5.7962 5.7815
5.7962 -5.7962 5.7815
5.7962 5.7962 -5.7815
Na Tb Mo O
10 2 8 32
direct
0.1108 0.0361 0.8328
0.2219 0.3892 0.4253
0.2966 0.7219 0.3328
0.3750 0.1250 0.2500
0.4639 0.7966 0.0747
0.5361 0.2034 0.9253
0.6250 0.8750 0.7500
0.7034 0.2781 0.6672
0.7781 0.6108 0.5747
0.8892 0.9639 0.1672
0.1250 0.3750 0.7500
0.8750 0.6250 0.2500
0.0449 0.7075 0.9751
0.2075 0.7323 0.6625
0.2323 0.0698 0.5249
0.4302 0.4551 0.1625
0.5698 0.5449 0.8375
0.7677 0.9302 0.4751
0.7925 0.2677 0.3375
0.9551 0.2925 0.0249
0.0062 0.3526 0.4874
0.0135 0.8026 0.8559
0.0188 0.5062 0.1535
0.0708 0.2716 0.9215
0.1474 0.1348 0.6535
0.1499 0.8507 0.4215
0.1977 0.1253 0.3689
0.2284 0.6499 0.7992
0.2564 0.8288 0.1311
0.3026 0.9467 0.7891
0.3288 0.6977 0.5724
0.3424 0.4865 0.2891
0.3507 0.4292 0.7008
0.3652 0.5188 0.0126
0.3747 0.2436 0.0724
0.4467 0.1576 0.6441
0.5533 0.8424 0.3559
0.6253 0.7564 0.9276
0.6348 0.4812 0.9874
0.6493 0.5708 0.2992
0.6576 0.5135 0.7109
0.6712 0.3023 0.4276
0.6974 0.0533 0.2109
0.7436 0.1712 0.8689
0.7716 0.3501 0.2008
0.8023 0.8747 0.6311
0.8501 0.1493 0.5785
0.8526 0.8652 0.3465
0.9292 0.7284 0.0785
0.9812 0.4938 0.8465
0.9865 0.1974 0.1441
0.9938 0.6474 0.5126
```

The 6 most intense peaks (2θ from 5° to 70°), by intensity:
| 2theta | intensity |
| --- | --- |
| 28.8 | 100 |
| 10.8 | 42 |
| 18.8 | 26 |
| 24.3 | 25 |
| 47.1 | 22 |
| 58.5 | 18 |